Structure and calculated X-ray diffraction stick pattern of Cu2SnSe2 (a cell relaxed with PBE; Cu Kα, 1.54184 Å).

Most intense lines, 15 to 90 degrees two-theta, by angle:
(hkl), 2theta, d (Å), I/Imax
2 0 -2, 28.4, 3.148, 100
1 1 -2, 32.2, 2.776, 46
0 4 0, 33.9, 2.645, 53
1 3 1, 40.5, 2.229, 73
4 0 -2, 41.6, 2.171, 60
2 4 -2, 44.8, 2.025, 29
3 3 -3, 50.6, 1.803, 36
4 4 -2, 54.7, 1.678, 30

a = 8.6805 Å, b = 10.5791 Å, c = 6.3035 Å
α = 90.00°, β = 133.49°, γ = 90.00°
Space group C2/c (No. 15)
Inequivalent atoms, fractional coordinates:
1 Cu 0.1508 0.1095 0.0311 [8 per cell]
2 Sn 0.0000 0.3820 0.2500 [4 per cell]
3 Se 0.0000 0.0950 0.2500 [4 per cell]
4 Se 0.0000 0.3260 0.7500 [4 per cell]

Structure and calculated X-ray diffraction stick pattern of Cu10AgPt4 (a cell relaxed with PBE; Cu Kα, 1.54184 Å).

Most intense lines, 15 to 90 degrees two-theta, by angle:
(hkl), 2theta, d (Å), I/Imax
1 1 1, 24.6, 3.621, 50
3 1 -2, 41.9, 2.156, 45
4 2 -1, 42.0, 2.152, 89
1 3 1, 43.3, 2.091, 100
2 2 -3, 61.8, 1.502, 14
4 4 -1, 61.9, 1.499, 27
3 5 -2, 78.5, 1.219, 14
5 5 0, 78.5, 1.218, 20

a = 11.4895 Å, b = 7.2362 Å, c = 4.9752 Å
α = 90.00°, β = 101.37°, γ = 90.00°
Space group C2/m (No. 12)
Inequivalent atoms, fractional coordinates:
1 Cu 0.0000 0.1691 0.0000 [4 per cell]
2 Cu 0.1022 0.3347 0.3991 [8 per cell]
3 Cu 0.2044 0.1672 0.7971 [8 per cell]
4 Ag 0.0000 0.0000 0.5000 [2 per cell]
5 Pt 0.0985 0.5000 0.8942 [4 per cell]
6 Pt 0.1984 0.0000 0.2920 [4 per cell]

Structure and calculated X-ray diffraction stick pattern of Dy3NpS4 (a cell relaxed with PBE; Cu Kα, 1.54184 Å).

Most intense lines, 15 to 90 degrees two-theta, by angle:
(hkl), 2theta, d (Å), I/Imax
1 0 4, 27.9, 3.192, 68
0 0 12, 28.2, 3.170, 22
0 1 8, 32.4, 2.760, 100
1 1 0, 46.4, 1.957, 37
1 0 16, 46.7, 1.946, 36
1 1 12, 55.2, 1.665, 22
2 0 8, 57.8, 1.596, 19
1 2 8, 77.1, 1.237, 16

a = 3.9133 Å, b = 3.9133 Å, c = 38.0348 Å
α = 90.00°, β = 90.00°, γ = 120.00°
Space group R-3m (No. 166, hexagonal axes)
Inequivalent atoms, fractional coordinates:
1 Dy 0.0000 0.0000 0.0000 [3 per cell]
2 Dy 0.0000 0.0000 0.2487 [6 per cell]
3 Np 0.0000 0.0000 0.5000 [3 per cell]
4 S 0.0000 0.0000 0.1253 [6 per cell]
5 S 0.0000 0.0000 0.3751 [6 per cell]

Structure and calculated X-ray diffraction stick pattern of NdSm2AlO (a cell relaxed with PBE; Cu Kα, 1.54184 Å).

Most intense lines, 15 to 90 degrees two-theta, by angle:
(hkl), 2theta, d (Å), I/Imax
1 0 0, 18.3, 4.854, 17
1 1 1, 31.7, 2.819, 100
0 0 2, 36.4, 2.470, 20
2 0 0, 37.0, 2.427, 38
2 0 2, 52.9, 1.731, 27
1 1 3, 62.6, 1.485, 15
3 1 1, 63.5, 1.466, 28
2 2 2, 66.3, 1.409, 14

a = 4.8540 Å, b = 4.8540 Å, c = 4.9406 Å
α = 90.00°, β = 90.00°, γ = 90.00°
Space group P4/mmm (No. 123)
Inequivalent atoms, fractional coordinates:
1 Nd 0.0000 0.0000 0.0000 [1 per cell]
2 Sm 0.0000 0.5000 0.5000 [2 per cell]
3 Al 0.5000 0.5000 0.0000 [1 per cell]
4 O 0.0000 0.0000 0.5000 [1 per cell]

Structure and calculated X-ray diffraction stick pattern of Er7Ga2Ge2 (a cell relaxed with PBE; Cu Kα, 1.54184 Å).

Most intense lines, 15 to 90 degrees two-theta, by angle:
(hkl), 2theta, d (Å), I/Imax
2 0 1, 26.6, 3.345, 39
1 1 2, 28.7, 3.106, 63
2 2 0, 28.9, 3.090, 99
0 2 2, 29.9, 2.985, 21
0 4 0, 33.4, 2.683, 74
1 3 2, 37.4, 2.403, 50
2 2 2, 38.4, 2.343, 100
4 0 0, 48.1, 1.891, 41

a = 7.5590 Å, b = 10.7310 Å, c = 7.1858 Å
α = 90.00°, β = 90.00°, γ = 90.00°
Space group Cmmm (No. 65)
Inequivalent atoms, fractional coordinates:
1 Er 0.0000 0.0000 0.0000 [2 per cell]
2 Er 0.0000 0.5000 0.2570 [4 per cell]
3 Er 0.2500 0.2500 0.2859 [8 per cell]
4 Ga 0.0000 0.2896 0.0000 [4 per cell]
5 Ge 0.1742 0.0000 0.5000 [4 per cell]

Structure and calculated X-ray diffraction stick pattern of La5Pr2NdSm (a cell relaxed with PBE; Cu Kα, 1.54184 Å).

Most intense lines, 15 to 90 degrees two-theta, by angle:
(hkl), 2theta, d (Å), I/Imax
2 1 3, 27.7, 3.223, 61
2 2 0, 27.9, 3.194, 51
2 0 4, 29.8, 2.998, 100
3 1 0, 31.3, 2.857, 16
2 1 5, 35.8, 2.511, 13
3 2 1, 36.3, 2.476, 18
4 0 2, 41.6, 2.173, 24
4 2 4, 50.6, 1.804, 20

a = 9.0353 Å, b = 9.0353 Å, c = 16.0276 Å
α = 90.00°, β = 90.00°, γ = 90.00°
Space group I4/mcm (No. 140)
Inequivalent atoms, fractional coordinates:
1 La 0.0000 0.0000 0.0000 [4 per cell]
2 La 0.2037 0.2963 0.1393 [16 per cell]
3 Pr 0.1188 0.3812 0.5000 [8 per cell]
4 Nd 0.0000 0.0000 0.2500 [4 per cell]
5 Sm 0.0000 0.5000 0.2500 [4 per cell]

Structure and calculated X-ray diffraction stick pattern of OsCl3F3 (a cell relaxed with PBE; Cu Kα, 1.54184 Å).

Most intense lines, 15 to 90 degrees two-theta, by angle:
(hkl), 2theta, d (Å), I/Imax
1 1 0, 17.3, 5.112, 100
1 0 1, 18.0, 4.934, 85
0 2 1, 25.1, 3.550, 20
3 0 0, 30.3, 2.951, 16
2 1 1, 30.7, 2.916, 45
2 0 2, 36.4, 2.467, 12
1 2 2, 40.6, 2.222, 26
3 1 2, 48.1, 1.893, 19

a = 10.2231 Å, b = 10.2231 Å, c = 5.9416 Å
α = 90.00°, β = 90.00°, γ = 120.00°
Space group R3m (No. 160, hexagonal axes)
Inequivalent atoms, fractional coordinates:
1 Os 0.0000 0.0000 0.0000 [3 per cell]
2 Cl 0.1006 0.2012 0.7686 [9 per cell]
3 F 0.0817 0.1634 0.2100 [9 per cell]

Structure and calculated X-ray diffraction stick pattern of Sc2UC2 (a cell relaxed with PBE; Cu Kα, 1.54184 Å).

Most intense lines, 15 to 90 degrees two-theta, by angle:
(hkl), 2theta, d (Å), I/Imax
1 1 0, 17.0, 5.213, 100
2 0 0, 19.8, 4.473, 40
0 2 0, 27.8, 3.207, 18
3 1 0, 33.1, 2.704, 51
2 2 0, 34.4, 2.606, 24
1 1 2, 38.1, 2.365, 53
2 0 2, 39.5, 2.282, 24
2 2 2, 49.0, 1.859, 20

a = 8.9460 Å, b = 6.4143 Å, c = 5.3068 Å
α = 90.00°, β = 90.00°, γ = 90.00°
Space group Pbcn (No. 60)
Inequivalent atoms, fractional coordinates:
1 Sc 0.1587 0.1223 0.0610 [8 per cell]
2 U 0.0000 0.4711 0.7500 [4 per cell]
3 C 0.1050 0.2254 0.4877 [8 per cell]

Structure and calculated X-ray diffraction stick pattern of DyGa8Ni4 (a cell relaxed with PBE; Cu Kα, 1.54184 Å).

Most intense lines, 15 to 90 degrees two-theta, by angle:
(hkl), 2theta, d (Å), I/Imax
0 0 2, 34.6, 2.590, 24
3 0 1, 35.8, 2.505, 52
2 0 2, 40.7, 2.217, 68
3 2 1, 41.7, 2.164, 100
4 0 0, 42.1, 2.146, 60
2 2 2, 46.1, 1.970, 42
3 2 3, 66.9, 1.398, 24
6 3 1, 76.7, 1.242, 26

a = 8.5856 Å, b = 8.5856 Å, c = 5.1794 Å
α = 90.00°, β = 90.00°, γ = 90.00°
Space group I4/mmm (No. 139)
Inequivalent atoms, fractional coordinates:
1 Dy 0.0000 0.0000 0.0000 [2 per cell]
2 Ga 0.0000 0.2215 0.5000 [8 per cell]
3 Ga 0.0000 0.3427 0.0000 [8 per cell]
4 Ni 0.2500 0.2500 0.2500 [8 per cell]

Structure and calculated X-ray diffraction stick pattern of LiPr8Nd5 (a cell relaxed with PBE; Cu Kα, 1.54184 Å).

Most intense lines, 15 to 90 degrees two-theta, by angle:
(hkl), 2theta, d (Å), I/Imax
1 0 3, 27.5, 3.245, 44
3 0 1, 28.5, 3.131, 49
3 1 0, 28.6, 3.117, 77
2 2 2, 31.0, 2.887, 27
1 2 3, 33.1, 2.710, 100
3 1 2, 33.6, 2.667, 30
3 2 1, 33.9, 2.643, 36
5 0 3, 53.6, 1.710, 28

a = 9.8574 Å, b = 9.8574 Å, c = 10.3087 Å
α = 90.00°, β = 90.00°, γ = 90.00°
Space group I-4 (No. 82)
Inequivalent atoms, fractional coordinates:
1 Li 0.0000 0.0000 0.0000 [2 per cell]
2 Pr 0.0684 0.8290 0.3458 [8 per cell]
3 Pr 0.0814 0.6956 0.0059 [8 per cell]
4 Nd 0.0000 0.5000 0.2500 [2 per cell]
5 Nd 0.1002 0.7057 0.6730 [8 per cell]

Structure and calculated X-ray diffraction stick pattern of RbLiSnCl4 (a cell relaxed with PBE; Cu Kα, 1.54184 Å).

Most intense lines, 15 to 90 degrees two-theta, by angle:
(hkl), 2theta, d (Å), I/Imax
1 1 0, 17.9, 4.950, 100
1 1 -2, 24.1, 3.699, 26
0 2 0, 24.7, 3.600, 32
2 0 -2, 27.4, 3.250, 41
1 1 2, 31.0, 2.881, 53
0 2 2, 32.7, 2.741, 46
2 2 0, 36.3, 2.475, 21
1 0 -4, 40.1, 2.248, 28

a = 7.2513 Å, b = 7.2006 Å, c = 8.9931 Å
α = 90.00°, β = 109.97°, γ = 90.00°
Space group P2_1/m (No. 11)
Inequivalent atoms, fractional coordinates:
1 Rb 0.2347 0.2500 0.4571 [2 per cell]
2 Li 0.2430 0.7500 0.1793 [2 per cell]
3 Sn 0.2827 0.2500 0.9845 [2 per cell]
4 Cl 0.0184 0.7500 0.9177 [2 per cell]
5 Cl 0.0538 0.7500 0.3385 [2 per cell]
6 Cl 0.4620 0.0031 0.2152 [4 per cell]